Entry 1:
For MgSi2, the GGA-PBE geometry in the Materials Project gives the simulated powder XRD pattern in this record (Cu Kα (λ = 1.5418 Å)).
Peak positions follow from Bragg's law for the DFT cell and can differ from measured ones.

```
data_MgSi2
_cell_length_a 5.5200
_cell_length_b 5.5200
_cell_length_c 12.1319
_cell_angle_alpha 109.52
_cell_angle_beta 109.52
_cell_angle_gamma 40.31
_space_group_name_H-M_alt 'P 1'
_space_group_IT_number 1
_space_group_name_Hall 'P 1'
loop_
_atom_site_label
_atom_site_type_symbol
_atom_site_fract_x
_atom_site_fract_y
_atom_site_fract_z
Mg1 Mg 0.0000 0.0000 0.0000
Mg2 Mg 0.0359 0.0359 0.7420
Mg3 Mg 0.3680 0.3680 0.4848
Mg4 Mg 0.9208 0.9208 0.2830
Si1 Si 0.0836 0.0836 0.5186
Si2 Si 0.2187 0.2187 0.2282
Si3 Si 0.2964 0.2964 0.6874
Si4 Si 0.3145 0.3145 0.0741
Si5 Si 0.5685 0.5685 0.2015
Si6 Si 0.6414 0.6414 0.4199
Si7 Si 0.6909 0.6909 0.9534
Si8 Si 0.7831 0.7831 0.7977
```

Top 8 peaks for 15 to 90 degrees two-theta, sorted by position:
2θ 27.9, rel. 312; 2θ 31.5, rel. 1000; 2θ 36.2, rel. 309; 2θ 36.5, rel. 412; 2θ 37.8, rel. 668; 2θ 39.5, rel. 352; 2θ 43.9, rel. 374; 2θ 47.8, rel. 603

=====

Entry 2:
For KPrTe4, the GGA-PBE geometry in the Materials Project gives the simulated powder XRD pattern in this record (Cu Kα (λ = 1.5418 Å)).
Peak positions follow from Bragg's law for the DFT cell and can differ from measured ones.

```
data_KPrTe4
_cell_length_a 6.9705
_cell_length_b 6.9705
_cell_length_c 9.0256
_cell_angle_alpha 90.00
_cell_angle_beta 90.00
_cell_angle_gamma 90.00
_space_group_name_H-M_alt 'P 1'
_space_group_IT_number 1
_space_group_name_Hall 'P 1'
loop_
_atom_site_label
_atom_site_type_symbol
_atom_site_fract_x
_atom_site_fract_y
_atom_site_fract_z
K1 K 0.2500 0.2500 0.0000
K2 K 0.7500 0.7500 0.0000
Pr1 Pr 0.2500 0.2500 0.5000
Pr2 Pr 0.7500 0.7500 0.5000
Te1 Te 0.1064 0.6064 0.2850
Te2 Te 0.1064 0.8936 0.7150
Te3 Te 0.3936 0.6064 0.7150
Te4 Te 0.3936 0.8936 0.2850
Te5 Te 0.6064 0.1064 0.7150
Te6 Te 0.6064 0.3936 0.2850
Te7 Te 0.8936 0.1064 0.2850
Te8 Te 0.8936 0.3936 0.7150
```

Top 8 peaks for 15 to 90 degrees two-theta, sorted by position:
2θ 19.7, rel. 189; 2θ 26.8, rel. 641; 2θ 30.3, rel. 1000; 2θ 32.5, rel. 252; 2θ 35.0, rel. 249; 2θ 40.9, rel. 342; 2θ 41.7, rel. 311; 2θ 56.6, rel. 240

=====

Entry 3:
For ZnSeO3, the GGA-PBE geometry in the Materials Project gives the simulated powder XRD pattern in this record (Cu Kα (λ = 1.5418 Å)).
Peak positions follow from Bragg's law for the DFT cell and can differ from measured ones.

```
data_ZnSeO3
_cell_length_a 6.0040
_cell_length_b 7.8105
_cell_length_c 5.1358
_cell_angle_alpha 90.00
_cell_angle_beta 90.00
_cell_angle_gamma 90.00
_space_group_name_H-M_alt 'P 1'
_space_group_IT_number 1
_space_group_name_Hall 'P 1'
loop_
_atom_site_label
_atom_site_type_symbol
_atom_site_fract_x
_atom_site_fract_y
_atom_site_fract_z
Zn1 Zn 0.0000 0.0000 0.0000
Zn2 Zn 0.0000 0.5000 0.0000
Zn3 Zn 0.5000 0.0000 0.5000
Zn4 Zn 0.5000 0.5000 0.5000
Se1 Se 0.0284 0.2500 0.4847
Se2 Se 0.4716 0.7500 0.9847
Se3 Se 0.5284 0.2500 0.0153
Se4 Se 0.9716 0.7500 0.5153
O1 O 0.0783 0.2500 0.8199
O2 O 0.1889 0.0781 0.3664
O3 O 0.1889 0.4219 0.3664
O4 O 0.3111 0.5781 0.8664
O5 O 0.3111 0.9219 0.8664
O6 O 0.4217 0.7500 0.3199
O7 O 0.5783 0.2500 0.6801
O8 O 0.6889 0.0781 0.1336
O9 O 0.6889 0.4219 0.1336
O10 O 0.8111 0.5781 0.6336
O11 O 0.8111 0.9219 0.6336
O12 O 0.9217 0.7500 0.1801
```

Top 8 peaks for 15 to 90 degrees two-theta, sorted by position:
2θ 29.8, rel. 281; 2θ 32.4, rel. 1000; 2θ 34.9, rel. 195; 2θ 46.5, rel. 299; 2θ 54.5, rel. 253; 2θ 56.2, rel. 136; 2θ 61.1, rel. 226; 2θ 77.3, rel. 155